[1]
Ho8Al3Ge9: theoretical PXRD pattern (Cu Kα (weighted mean of Kα1 and Kα2)), based on the GGA-PBE geometry in Alexandria.

Most intense lines, 2θ = 10–80°, in order of rising 2θ:
2theta	d (Å)	intensity
26.31	3.388	87.2
29.33	3.045	28.4
33.65	2.664	99.8
33.78	2.653	100.0
36.05	2.491	42.1
36.30	2.475	46.3
38.44	2.342	79.1
42.13	2.145	30.2
44.44	2.038	46.0
50.21	1.817	36.8

Cell and atoms:
Cell lengths 5.658, 5.658, 20.128 Å; angles 99.70, 99.70, 42.23 degrees
Sites, in units of the cell vectors:
Ho (0.020, 0.020, 0.180)
Ho (0.218, 0.218, 0.572)
Ho (0.303, 0.303, 0.929)
Ho (0.457, 0.457, 0.323)
Ho (0.543, 0.543, 0.677)
Ho (0.697, 0.697, 0.071)
Ho (0.782, 0.782, 0.428)
Ho (0.980, 0.980, 0.820)
Al (0.260, 0.260, 0.747)
Al (0.500, 0.500, 0.500)
Al (0.740, 0.740, 0.253)
Ge (0.000, 0.000, 0.000)
Ge (0.068, 0.068, 0.430)
Ge (0.169, 0.169, 0.323)
Ge (0.304, 0.304, 0.182)
Ge (0.412, 0.412, 0.076)
Ge (0.588, 0.588, 0.924)
Ge (0.696, 0.696, 0.818)
Ge (0.831, 0.831, 0.677)
Ge (0.932, 0.932, 0.570)


[2]
Al4In2Ge: theoretical PXRD pattern (Cu Kα (weighted mean of Kα1 and Kα2)), based on the GGA-PBE geometry in Alexandria.

Most intense lines, 2θ = 10–80°, in order of rising 2θ:
2theta	d (Å)	intensity
12.29	7.199	20.0
25.61	3.479	100.0
25.94	3.435	82.3
35.90	2.502	42.7
36.14	2.485	55.0
36.53	2.460	71.4
45.34	2.000	36.4
52.33	1.748	37.0
52.62	1.739	24.3
59.41	1.556	18.3

Cell and atoms:
Cell lengths 7.996, 7.996, 7.996 Å; angles 144.17, 144.17, 51.58 degrees
Sites, in units of the cell vectors:
Al (0.000, 0.500, 0.500)
Al (0.179, 0.179, 0.000)
Al (0.500, 0.000, 0.500)
Al (0.821, 0.821, 0.000)
In (0.370, 0.370, 0.000)
In (0.630, 0.630, 0.000)
Ge (0.000, 0.000, 0.000)


[3]
Pm2AlGe4Ir3: theoretical PXRD pattern (Cu Kα (weighted mean of Kα1 and Kα2)), based on the GGA-PBE geometry in Alexandria.

Most intense lines, 2θ = 10–80°, in order of rising 2θ:
2theta	d (Å)	intensity
27.05	3.296	25.9
29.82	2.996	32.0
33.22	2.697	97.9
34.48	2.601	100.0
42.68	2.118	82.8
45.99	1.973	33.1
48.41	1.880	40.7
55.13	1.666	46.7
61.95	1.498	27.5
66.49	1.406	31.5

Cell and atoms:
Cell lengths 4.237, 4.237, 10.492 Å; angles 90.00, 90.00, 90.00 degrees
Sites, in units of the cell vectors:
Pm (0.000, 0.500, 0.242)
Pm (0.500, 0.000, 0.758)
Al (0.000, 0.000, 0.500)
Ge (0.000, 0.000, 0.000)
Ge (0.000, 0.500, 0.644)
Ge (0.500, 0.000, 0.356)
Ge (0.500, 0.500, 0.000)
Ir (0.000, 0.500, 0.876)
Ir (0.500, 0.000, 0.124)
Ir (0.500, 0.500, 0.500)


[4]
KAl2NiGe: theoretical PXRD pattern (Cu Kα (weighted mean of Kα1 and Kα2)), based on the GGA-PBE geometry in Alexandria.

Most intense lines, 2θ = 10–80°, in order of rising 2θ:
2theta	d (Å)	intensity
17.07	5.195	100.0
24.23	3.673	72.7
31.22	2.865	34.3
34.53	2.597	98.6
38.76	2.323	26.2
39.38	2.288	33.8
46.77	1.942	23.4
49.64	1.837	33.5
53.36	1.717	53.4
65.13	1.432	28.4

Cell and atoms:
Cell lengths 5.195, 5.195, 4.577 Å; angles 90.00, 90.00, 90.00 degrees
Sites, in units of the cell vectors:
K (0.000, 0.000, 0.000)
Al (0.000, 0.500, 0.500)
Al (0.500, 0.000, 0.500)
Ni (0.500, 0.500, 0.000)
Ge (0.500, 0.500, 0.500)


[5]
K2Al2Ge2P: theoretical PXRD pattern (Cu Kα (weighted mean of Kα1 and Kα2)), based on the GGA-PBE geometry in Alexandria.

Most intense lines, 2θ = 10–80°, in order of rising 2θ:
2theta	d (Å)	intensity
13.28	6.666	42.9
13.90	6.369	62.8
15.07	5.877	43.6
24.91	3.575	100.0
28.14	3.171	58.2
28.33	3.151	49.6
28.59	3.122	92.2
32.38	2.765	42.7
35.63	2.519	57.9
41.84	2.159	40.2

Cell and atoms:
Cell lengths 4.406, 7.246, 7.280 Å; angles 109.25, 96.85, 107.63 degrees
Sites, in units of the cell vectors:
K (0.215, 0.355, 0.203)
K (0.785, 0.645, 0.797)
Al (0.456, 0.053, 0.708)
Al (0.544, 0.947, 0.292)
Ge (0.007, 0.193, 0.613)
Ge (0.993, 0.807, 0.387)
P (0.500, 0.000, 0.000)


[6]
K2AlZn3Ge4: theoretical PXRD pattern (Cu Kα (weighted mean of Kα1 and Kα2)), based on the GGA-PBE geometry in Alexandria.

Most intense lines, 2θ = 10–80°, in order of rising 2θ:
2theta	d (Å)	intensity
21.87	4.065	43.3
31.50	2.840	53.6
33.15	2.703	100.0
41.41	2.180	76.8
43.60	2.076	70.9
45.42	1.997	35.3
52.94	1.729	22.8
60.01	1.542	24.5
63.14	1.473	24.9
77.05	1.238	25.7

Cell and atoms:
Cell lengths 4.361, 4.361, 11.230 Å; angles 90.00, 90.00, 90.00 degrees
Sites, in units of the cell vectors:
K (0.000, 0.500, 0.250)
K (0.500, 0.000, 0.750)
Al (0.000, 0.000, 0.500)
Zn (0.000, 0.500, 0.863)
Zn (0.500, 0.000, 0.137)
Zn (0.500, 0.500, 0.500)
Ge (0.000, 0.000, 0.000)
Ge (0.000, 0.500, 0.633)
Ge (0.500, 0.000, 0.367)
Ge (0.500, 0.500, 0.000)


[7]
La8Al2Ge: theoretical PXRD pattern (Cu Kα (weighted mean of Kα1 and Kα2)), based on the GGA-PBE geometry in Alexandria.

Most intense lines, 2θ = 10–80°, in order of rising 2θ:
2theta	d (Å)	intensity
22.47	3.957	15.1
27.10	3.290	17.8
28.37	3.146	68.3
29.41	3.037	23.9
30.09	2.970	100.0
30.60	2.921	16.2
32.82	2.729	53.0
34.03	2.635	55.9
34.24	2.619	24.7
44.90	2.019	26.5

Cell and atoms:
Cell lengths 9.854, 9.854, 7.261 Å; angles 108.15, 108.15, 31.02 degrees
Sites, in units of the cell vectors:
La (0.005, 0.005, 0.267)
La (0.209, 0.209, 0.800)
La (0.343, 0.343, 0.541)
La (0.408, 0.408, 0.044)
La (0.592, 0.592, 0.956)
La (0.657, 0.657, 0.459)
La (0.791, 0.791, 0.200)
La (0.995, 0.995, 0.733)
Al (0.174, 0.174, 0.213)
Al (0.826, 0.826, 0.787)
Ge (0.500, 0.500, 0.500)


[8]
LaAlGe: theoretical PXRD pattern (Cu Kα (weighted mean of Kα1 and Kα2)), based on the GGA-PBE geometry in Alexandria.

Most intense lines, 2θ = 10–80°, in order of rising 2θ:
2theta	d (Å)	intensity
27.23	3.275	41.1
31.35	2.854	100.0
36.61	2.454	45.8
41.29	2.186	36.2
47.70	1.906	21.3
50.17	1.818	15.2
56.36	1.633	26.0
59.82	1.546	12.0
64.89	1.437	16.7
69.10	1.359	20.1

Cell and atoms:
Cell lengths 8.033, 8.033, 8.033 Å; angles 148.41, 148.41, 45.27 degrees
Sites, in units of the cell vectors:
La (0.000, 0.000, 0.000)
La (0.750, 0.250, 0.500)
Al (0.167, 0.667, 0.500)
Al (0.417, 0.417, 0.000)
Ge (0.334, 0.834, 0.500)
Ge (0.584, 0.584, 0.000)


[9]
LaPu2Al2Ge2: theoretical PXRD pattern (Cu Kα (weighted mean of Kα1 and Kα2)), based on the GGA-PBE geometry in Alexandria.

Most intense lines, 2θ = 10–80°, in order of rising 2θ:
2theta	d (Å)	intensity
18.59	4.772	58.7
24.38	3.651	55.4
28.83	3.097	23.0
32.73	2.736	100.0
37.70	2.386	24.6
42.53	2.125	95.8
46.79	1.942	35.1
51.72	1.767	23.2
54.68	1.679	23.6
58.12	1.587	42.7

Cell and atoms:
Cell lengths 9.854, 9.854, 9.854 Å; angles 24.91, 24.91, 24.91 degrees
Sites, in units of the cell vectors:
La (0.000, 0.000, 0.000)
Pu (0.161, 0.161, 0.161)
Pu (0.839, 0.839, 0.839)
Al (0.428, 0.428, 0.428)
Al (0.572, 0.572, 0.572)
Ge (0.267, 0.267, 0.267)
Ge (0.733, 0.733, 0.733)


[10]
La2AlSiGe: theoretical PXRD pattern (Cu Kα (weighted mean of Kα1 and Kα2)), based on the GGA-PBE geometry in Alexandria.

Most intense lines, 2θ = 10–80°, in order of rising 2θ:
2theta	d (Å)	intensity
23.08	3.854	23.2
23.89	3.725	40.0
32.08	2.790	49.3
32.68	2.740	100.0
41.04	2.199	36.6
42.50	2.127	17.1
44.82	2.022	14.1
52.61	1.740	12.7
54.22	1.692	22.0
62.38	1.489	20.2

Cell and atoms:
Cell lengths 4.254, 8.089, 7.708 Å; angles 90.00, 90.00, 90.00 degrees
Sites, in units of the cell vectors:
La (0.250, 0.009, 0.239)
La (0.250, 0.491, 0.239)
La (0.750, 0.509, 0.761)
La (0.750, 0.991, 0.761)
Al (0.250, 0.250, 0.589)
Al (0.750, 0.750, 0.411)
Si (0.250, 0.750, 0.577)
Si (0.750, 0.250, 0.423)
Ge (0.250, 0.250, 0.909)
Ge (0.750, 0.750, 0.091)


[11]
La2Al3Zn4Ge: theoretical PXRD pattern (Cu Kα (weighted mean of Kα1 and Kα2)), based on the GGA-PBE geometry in Alexandria.

Most intense lines, 2θ = 10–80°, in order of rising 2θ:
2theta	d (Å)	intensity
22.02	4.036	17.6
28.93	3.086	12.8
32.58	2.748	56.0
33.59	2.668	100.0
41.38	2.182	48.8
47.64	1.909	25.3
53.63	1.709	26.8
59.95	1.543	15.9
64.90	1.437	19.6
70.50	1.336	22.2

Cell and atoms:
Cell lengths 4.364, 4.364, 10.613 Å; angles 90.00, 90.00, 90.00 degrees
Sites, in units of the cell vectors:
La (0.000, 0.500, 0.248)
La (0.500, 0.000, 0.752)
Al (0.000, 0.500, 0.871)
Al (0.500, 0.000, 0.129)
Al (0.500, 0.500, 0.500)
Zn (0.000, 0.000, 0.000)
Zn (0.000, 0.500, 0.636)
Zn (0.500, 0.000, 0.364)
Zn (0.500, 0.500, 0.000)
Ge (0.000, 0.000, 0.500)


[12]
Li2AlGe2: theoretical PXRD pattern (Cu Kα (weighted mean of Kα1 and Kα2)), based on the GGA-PBE geometry in Alexandria.

Most intense lines, 2θ = 10–80°, in order of rising 2θ:
2theta	d (Å)	intensity
15.22	5.820	69.9
17.67	5.020	18.7
27.00	3.303	100.0
30.90	2.894	27.9
35.82	2.507	37.5
36.66	2.451	20.9
38.21	2.355	44.8
42.95	2.106	45.3
44.14	2.052	16.0
49.78	1.832	19.0

Cell and atoms:
Cell lengths 7.070, 7.070, 7.070 Å; angles 133.65, 69.19, 131.68 degrees
Sites, in units of the cell vectors:
Li (0.181, 0.233, 0.414)
Li (0.319, 0.733, 0.052)
Li (0.681, 0.267, 0.948)
Li (0.819, 0.767, 0.586)
Al (0.250, 0.250, 0.000)
Al (0.750, 0.750, 0.000)
Ge (0.088, 0.661, 0.749)
Ge (0.412, 0.161, 0.574)
Ge (0.588, 0.839, 0.426)
Ge (0.912, 0.339, 0.251)


[13]
LiAl3Ge: theoretical PXRD pattern (Cu Kα (weighted mean of Kα1 and Kα2)), based on the GGA-PBE geometry in Alexandria.

Most intense lines, 2θ = 10–80°, in order of rising 2θ:
2theta	d (Å)	intensity
19.62	4.525	23.2
27.88	3.200	31.9
34.32	2.613	100.0
39.84	2.263	56.0
44.78	2.024	11.7
49.33	1.847	13.4
57.61	1.600	37.2
68.80	1.364	38.0
72.33	1.306	12.5
79.20	1.209	6.4

Cell and atoms:
Cell lengths 4.525, 4.525, 4.525 Å; angles 90.00, 90.00, 90.00 degrees
Sites, in units of the cell vectors:
Li (0.000, 0.000, 0.000)
Al (0.000, 0.000, 0.500)
Al (0.000, 0.500, 0.000)
Al (0.500, 0.000, 0.000)
Ge (0.500, 0.500, 0.500)


[14]
Li3Pr2AlGe4: theoretical PXRD pattern (Cu Kα (weighted mean of Kα1 and Kα2)), based on the GGA-PBE geometry in Alexandria.

Most intense lines, 2θ = 10–80°, in order of rising 2θ:
2theta	d (Å)	intensity
22.62	3.931	28.8
26.86	3.319	23.6
29.92	2.987	19.6
32.80	2.730	54.4
34.36	2.610	100.0
42.82	2.112	42.5
47.50	1.914	28.7
54.97	1.670	24.9
65.86	1.418	21.4
72.99	1.296	21.9

Cell and atoms:
Cell lengths 4.224, 4.224, 10.736 Å; angles 90.00, 90.00, 90.00 degrees
Sites, in units of the cell vectors:
Li (0.000, 0.000, 0.000)
Li (0.000, 0.500, 0.627)
Li (0.500, 0.000, 0.373)
Pr (0.000, 0.500, 0.261)
Pr (0.500, 0.000, 0.739)
Al (0.500, 0.500, 0.000)
Ge (0.000, 0.000, 0.500)
Ge (0.000, 0.500, 0.856)
Ge (0.500, 0.000, 0.144)
Ge (0.500, 0.500, 0.500)